No. 1
For La3SmO4, a cell relaxed with GGA-PBE gives the computed X-ray diffraction stick pattern in this record (Cu Ka).
Intensities are scaled so that the largest is 100.

Structural model:
a b c (Å): 6.2881 7.1814 6.2625
angles (deg): 90.00 109.30 90.00
Fractional positions:
La: 0.0000 0.1245 0.2500
La: 0.0000 0.3748 0.7500
La: 0.0000 0.6252 0.2500
La: 0.0000 0.8755 0.7500
La: 0.5000 0.1244 0.7500
La: 0.5000 0.8756 0.2500
Sm: 0.5000 0.3747 0.2500
Sm: 0.5000 0.6253 0.7500
O: 0.2614 0.1328 0.0075
O: 0.2614 0.8672 0.5075
O: 0.2669 0.3824 0.5025
O: 0.2669 0.6176 0.0025
O: 0.7331 0.3824 0.9975
O: 0.7331 0.6176 0.4975
O: 0.7386 0.1328 0.4925
O: 0.7386 0.8672 0.9925

Main lines, in order of falling intensity (2θ from 15° to 90°):
| d [Å] | 2θ (°) | I/Imax |
| --- | --- | --- |
| 2.555 | 35.12 | 100.0 |
| 2.940 | 30.41 | 60.2 |
| 2.967 | 30.12 | 30.9 |
| 2.955 | 30.24 | 30.5 |
| 1.542 | 60.00 | 23.2 |
| 1.810 | 50.41 | 23.1 |
| 1.805 | 50.58 | 23.0 |
| 1.535 | 60.28 | 18.3 |
| 1.546 | 59.81 | 14.1 |
| 1.815 | 50.26 | 11.7 |

No. 2
For LaSm2TcO8, a cell relaxed with GGA-PBE gives the computed X-ray diffraction stick pattern in this record (Cu Ka).
Intensities are scaled so that the largest is 100.

Structural model:
a b c (Å): 5.1589 5.1589 7.0248
angles (deg): 90.00 90.00 90.10
Fractional positions:
La: 0.0000 0.0000 0.0000
Sm: 0.5000 0.5000 0.2518
Sm: 0.5000 0.5000 0.7482
Tc: 0.0000 0.0000 0.5000
O: 0.1808 0.1808 0.3018
O: 0.1808 0.1808 0.6982
O: 0.2601 0.7399 0.5000
O: 0.3129 0.6871 0.0000
O: 0.6871 0.3129 0.0000
O: 0.7399 0.2601 0.5000
O: 0.8192 0.8192 0.3018
O: 0.8192 0.8192 0.6982

Main lines, in order of falling intensity (2θ from 15° to 90°):
| d [Å] | 2θ (°) | I/Imax |
| --- | --- | --- |
| 3.648 | 24.40 | 100.0 |
| 2.903 | 30.80 | 88.8 |
| 1.928 | 47.13 | 68.8 |
| 2.579 | 34.78 | 24.7 |
| 1.544 | 59.89 | 19.7 |
| 1.582 | 58.31 | 17.2 |
| 1.824 | 50.00 | 16.8 |
| 1.631 | 56.40 | 16.4 |
| 1.179 | 81.70 | 12.7 |
| 1.195 | 80.33 | 12.5 |

No. 3
For La2SmTeO8, a cell relaxed with GGA-PBE gives the computed X-ray diffraction stick pattern in this record (Cu Ka).
Intensities are scaled so that the largest is 100.

Structural model:
a b c (Å): 4.4236 7.2536 5.5349
angles (deg): 90.00 94.08 90.00
Fractional positions:
La: 0.0000 0.2484 0.0000
La: 0.0000 0.7516 0.0000
Sm: 0.5000 0.5000 0.5000
Te: 0.5000 0.0000 0.5000
O: 0.0582 0.5000 0.2497
O: 0.0993 0.0000 0.3300
O: 0.4312 0.2038 0.7292
O: 0.4312 0.7962 0.7292
O: 0.5688 0.2038 0.2708
O: 0.5688 0.7962 0.2708
O: 0.9007 0.0000 0.6700
O: 0.9418 0.5000 0.7503

Main lines, in order of falling intensity (2θ from 15° to 90°):
| d [Å] | 2θ (°) | I/Imax |
| --- | --- | --- |
| 3.031 | 29.47 | 100.0 |
| 3.573 | 24.92 | 72.8 |
| 3.333 | 26.75 | 60.3 |
| 2.802 | 31.94 | 49.3 |
| 2.012 | 45.05 | 43.0 |
| 1.923 | 47.26 | 32.7 |
| 2.206 | 40.90 | 25.6 |
| 2.760 | 32.43 | 23.0 |
| 1.818 | 50.18 | 21.4 |
| 1.752 | 52.23 | 19.9 |